Record 1
This entry pairs a crystal structure of Pr7Mn8O24 with its simulated powder X-ray diffraction pattern. Radiation: Cu Kα (weighted mean of Kα1 and Kα2). Structure: a GGA+U-relaxed structure.
No peak broadening, texture or thermal motion is included.

Largest 10 diffraction maxima, sorted by position, 2θ = 10–80°:
(hkl)  two_theta  I/Imax
1 1 -1  12.67  8
0 4 0  22.74  8
2 4 -2  32.42  100
0 4 2  39.98  16
4 0 0  46.36  10
0 8 0  46.51  10
4 0 -4  46.64  10
2 4 2  57.73  13
2 4 -4  57.85  21
0 0 4  67.79  8

Atomic structure:
a b c (Å): 11.041 15.621 7.790
angles (deg): 90.00 134.80 90.00
Space group Cm (No. 8)
Symmetry-distinct sites (fractional):
Pr (0.000, 0.000, 0.000) (multiplicity 2)
Pr (0.002, 0.500, 0.527) (multiplicity 2)
Pr (0.006, 0.000, 0.522) (multiplicity 2)
Pr (0.027, 0.252, 0.514) (multiplicity 4)
Pr (0.035, 0.253, 0.023) (multiplicity 4)
Mn (0.262, 0.377, 0.508) (multiplicity 4)
Mn (0.265, 0.124, 0.519) (multiplicity 4)
Mn (0.265, 0.377, 0.015) (multiplicity 4)
Mn (0.269, 0.123, 0.015) (multiplicity 4)
O (0.014, 0.109, 0.790) (multiplicity 4)
O (0.014, 0.385, 0.767) (multiplicity 4)
O (0.016, 0.146, 0.234) (multiplicity 4)
O (0.017, 0.350, 0.253) (multiplicity 4)
O (0.217, 0.114, 0.716) (multiplicity 4)
O (0.228, 0.250, 0.949) (multiplicity 4)
O (0.232, 0.000, 0.438) (multiplicity 2)
O (0.240, 0.396, 0.739) (multiplicity 4)
O (0.259, 0.500, 0.474) (multiplicity 2)
O (0.284, 0.145, 0.283) (multiplicity 4)
O (0.286, 0.000, 0.089) (multiplicity 2)
O (0.294, 0.250, 0.587) (multiplicity 4)
O (0.294, 0.353, 0.292) (multiplicity 4)
O (0.322, 0.500, 0.092) (multiplicity 2)

Record 2
This entry pairs a crystal structure of Li3Mn4B4O12 with its simulated powder X-ray diffraction pattern. Radiation: Cu Kα (weighted mean of Kα1 and Kα2). Structure: a GGA+U-relaxed structure.
No peak broadening, texture or thermal motion is included.

Largest 10 diffraction maxima, sorted by position, 2θ = 10–80°:
(hkl)  two_theta  I/Imax
0 1 2  20.15  99
1 2 1  21.93  53
0 1 -2  22.65  81
1 0 -3  33.91  70
2 0 2  34.12  100
1 3 3  37.53  28
1 4 1  39.67  28
2 2 -2  40.60  39
2 -1 4  50.91  28
4 2 0  61.14  28

Atomic structure:
a b c (Å): 6.161 9.119 9.695
angles (deg): 79.65 80.20 72.17
Space group P-1 (No. 2)
Symmetry-distinct sites (fractional):
Li (0.026, 0.370, 0.282) (multiplicity 2)
Li (0.216, 0.131, 0.465) (multiplicity 2)
Li (0.299, 0.852, 0.038) (multiplicity 2)
Mn (0.034, 0.958, 0.725) (multiplicity 2)
Mn (0.225, 0.543, 0.025) (multiplicity 2)
Mn (0.284, 0.455, 0.464) (multiplicity 2)
Mn (0.469, 0.065, 0.773) (multiplicity 2)
B (0.017, 0.289, 0.723) (multiplicity 2)
B (0.222, 0.211, 0.029) (multiplicity 2)
B (0.266, 0.785, 0.484) (multiplicity 2)
B (0.493, 0.723, 0.783) (multiplicity 2)
O (0.014, 0.433, 0.639) (multiplicity 2)
O (0.072, 0.352, 0.078) (multiplicity 2)
O (0.101, 0.782, 0.598) (multiplicity 2)
O (0.114, 0.722, 0.150) (multiplicity 2)
O (0.159, 0.155, 0.666) (multiplicity 2)
O (0.215, 0.068, 0.109) (multiplicity 2)
O (0.281, 0.925, 0.403) (multiplicity 2)
O (0.345, 0.863, 0.824) (multiplicity 2)
O (0.355, 0.278, 0.339) (multiplicity 2)
O (0.380, 0.221, 0.915) (multiplicity 2)
O (0.413, 0.644, 0.446) (multiplicity 2)
O (0.491, 0.587, 0.874) (multiplicity 2)

Record 3
This entry pairs a crystal structure of Li2VCrO4 with its simulated powder X-ray diffraction pattern. Radiation: Cu Kα (weighted mean of Kα1 and Kα2). Structure: a GGA+U-relaxed structure.
No peak broadening, texture or thermal motion is included.

Largest 10 diffraction maxima, sorted by position, 2θ = 10–80°:
(hkl)  two_theta  I/Imax
2 0 0  18.13  100
0 0 2  35.37  14
1 1 -1  35.49  26
2 0 2  42.71  29
3 1 -1  43.07  56
3 1 1  46.85  9
5 1 -1  56.80  9
5 1 1  61.97  15
1 1 -3  62.54  23
0 2 0  62.60  8

Atomic structure:
a b c (Å): 9.919 2.968 5.144
angles (deg): 90.00 99.33 90.00
Space group C2/m (No. 12)
Symmetry-distinct sites (fractional):
Li (0.249, 0.000, 0.243) (multiplicity 4)
V (0.000, 0.000, 0.500) (multiplicity 2)
Cr (0.000, 0.500, 0.000) (multiplicity 2)
O (0.114, 0.000, 0.876) (multiplicity 4)
O (0.114, 0.500, 0.369) (multiplicity 4)